For TlN2F4, a cell relaxed with GGA-PBE gives the theoretical X-ray diffraction stick pattern in this record (a wavelength of 1.5418 Å).
Lines closer than 0.1° are merged.

Top 12 peaks for 2θ from 10° to 80°, most intense first:
- 2θ = 26.89°, intensity 100
- 2θ = 17.54°, intensity 81
- 2θ = 28.48°, intensity 31
- 2θ = 26.44°, intensity 28
- 2θ = 47.50°, intensity 27
- 2θ = 31.75°, intensity 25
- 2θ = 32.49°, intensity 18
- 2θ = 32.62°, intensity 18
- 2θ = 37.38°, intensity 16
- 2θ = 38.33°, intensity 15
- 2θ = 38.49°, intensity 15
- 2θ = 48.67°, intensity 14

Cell and atoms:
Cell lengths 3.8270, 3.8298, 10.1196 Å; angles 88.16, 89.73, 60.05 degrees
Atoms (fractional coordinates):
Tl 0.0000 0.0000 0.0000
N 0.0556 0.8910 0.4519
N 0.9444 0.1090 0.5481
F 0.0784 0.8374 0.6588
F 0.3301 0.3422 0.9015
F 0.6699 0.6578 0.0985
F 0.9216 0.1626 0.3412

***

For Dy3Tm2Te6, a cell relaxed with GGA-PBE gives the theoretical X-ray diffraction stick pattern in this record (a wavelength of 1.5418 Å).
Lines closer than 0.1° are merged.

Top 12 peaks for 2θ from 10° to 80°, most intense first:
- 2θ = 28.22°, intensity 100
- 2θ = 41.65°, intensity 46
- 2θ = 67.90°, intensity 36
- 2θ = 42.52°, intensity 29
- 2θ = 51.05°, intensity 27
- 2θ = 30.72°, intensity 23
- 2θ = 38.98°, intensity 16
- 2θ = 76.61°, intensity 10
- 2θ = 61.03°, intensity 10
- 2θ = 76.01°, intensity 8
- 2θ = 73.50°, intensity 6
- 2θ = 58.36°, intensity 5

Cell and atoms:
Cell lengths 21.6354, 21.6354, 21.6354 Å; angles 11.51, 11.51, 11.51 degrees
Atoms (fractional coordinates):
Dy 0.0000 0.0000 0.0000
Dy 0.2788 0.2788 0.2788
Dy 0.7212 0.7212 0.7212
Tm 0.4471 0.4471 0.4471
Tm 0.5529 0.5529 0.5529
Te 0.0835 0.0835 0.0835
Te 0.1951 0.1951 0.1951
Te 0.3608 0.3608 0.3608
Te 0.6392 0.6392 0.6392
Te 0.8049 0.8049 0.8049
Te 0.9165 0.9165 0.9165